Calculated X-ray diffraction stick pattern
Compound: KSrEuWO6
Radiation: copper Kα
Structure: a DFT-relaxed cell (PBE+U, Alexandria)
No peak broadening, texture or thermal motion is included.

Main lines, most intense first (10° ≤ 2θ ≤ 80°):
(hkl)	2θ (°)	Rel. int.
2 2 0	29.8	100.0
4 2 2	52.9	40.1
2 0 0	20.9	36.4
4 0 0	42.6	30.9
4 4 0	61.9	19.0
6 2 0	70.1	18.2

Cell and atoms:
a = 8.485 Å, b = 8.485 Å, c = 8.485 Å
α = 90.00°, β = 90.00°, γ = 90.00°
Space group F-43m (No. 216)
One atom of each set of equivalent atoms:
K: 0.000 0.000 0.000 [4 per cell]
Sr: 0.000 0.000 0.500 [4 per cell]
Eu: 0.250 0.250 0.250 [4 per cell]
W: 0.250 0.250 0.750 [4 per cell]
O: 0.020 0.250 0.750 [24 per cell]